The following is a theoretical powder X-ray diffraction pattern of V2CuH14C2N2O4F8. It was derived from the GGA+U geometry in Alexandria, using Cu Kα X-rays.
No peak broadening, texture or thermal motion is included.

Structural model:
```
V2CuH14C2N2O4F8
1.0
6.817 0.000 0.000
2.320 6.601 0.000
2.947 0.180 6.908
V Cu H C N O F
2 1 14 2 2 4 8
Direct
0.047 0.157 0.301
0.953 0.843 0.699
0.500 0.000 0.500
0.188 0.322 0.674
0.253 0.160 0.832
0.257 0.485 0.310
0.338 0.718 0.041
0.364 0.649 0.352
0.379 0.360 0.976
0.472 0.591 0.701
0.528 0.409 0.299
0.621 0.640 0.024
0.636 0.351 0.648
0.662 0.282 0.959
0.743 0.515 0.690
0.747 0.840 0.168
0.812 0.678 0.326
0.474 0.589 0.061
0.526 0.411 0.939
0.402 0.527 0.269
0.598 0.473 0.731
0.144 0.127 0.065
0.315 0.211 0.694
0.685 0.789 0.306
0.856 0.873 0.935
0.003 0.444 0.322
0.059 0.869 0.384
0.275 0.771 0.635
0.340 0.121 0.326
0.660 0.879 0.674
0.725 0.229 0.365
0.941 0.131 0.616
0.997 0.556 0.678
```

Principal peaks in the range 15 to 90 degrees two-theta, by angle:
two_theta	I/Imax	hkl
18.35	100	0 1 1
23.61	45	1 -1 1
24.47	36	1 1 -1
24.59	25	1 0 2
26.55	63	2 1 1
26.67	37	1 2 0
27.81	18	2 0 1
29.86	20	2 0 0
39.16	42	1 3 0
42.30	16	3 0 1